The following is a theoretical X-ray powder pattern of VInSe2O8. It was derived from DFT lattice parameters and positions (PBE+U), using λ = 1.5418 Å (Cu Kα).

Largest 10 diffraction maxima, in order of rising 2θ, 10 to 90 degrees two-theta:
- 18.47 deg, intensity 55, (1 0 0)
- 23.04 deg, intensity 90, (1 0 -2)
- 24.95 deg, intensity 46, (1 1 1)
- 26.70 deg, intensity 48, (1 0 2)
- 28.96 deg, intensity 46, (1 0 -3)
- 30.72 deg, intensity 100, (0 2 2)
- 31.81 deg, intensity 50, (1 2 0)
- 32.21 deg, intensity 38, (1 2 -1)
- 34.76 deg, intensity 26, (1 2 -2)
- 36.02 deg, intensity 27, (1 0 -4)

Cell and atoms:
```
data_VInSe2O8
_chemical_formula_sum 'V2 In2 Se4 O16'
_space_group_name_H-M_alt 'P 1 m 1'
_space_group_IT_number 6
_cell_length_a 4.8546
_cell_length_b 6.9401
_cell_length_c 10.8000
_cell_angle_alpha 90.00
_cell_angle_beta 98.36
_cell_angle_gamma 90.00
loop_
_space_group_symop_operation_xyz
'x,y,z'
'x,-y,z'
loop_
_atom_site_label
_atom_site_type_symbol
_atom_site_fract_x
_atom_site_fract_y
_atom_site_fract_z
V1 V 0.0000 0.2505 0.0000
In1 In 0.0780 0.2500 0.4907
Se1 Se 0.1780 0.0000 0.7726
Se2 Se 0.3443 0.5000 0.2406
Se3 Se 0.5207 0.0000 0.3040
Se4 Se 0.6301 0.5000 0.6783
O1 O 0.0010 0.1979 0.8200
O2 O 0.0091 0.0000 0.6147
O3 O 0.0926 0.5000 0.9677
O4 O 0.1249 0.0000 0.0269
O5 O 0.1645 0.3001 0.1767
O6 O 0.2023 0.5000 0.3836
O7 O 0.2550 0.0000 0.4035
O8 O 0.4355 0.3008 0.6299
O9 O 0.6694 0.2506 0.0086
O10 O 0.6998 0.1998 0.3652
O11 O 0.8691 0.5000 0.5650
```